1.
Computed powder diffractogram
Compound: TaMn2O3
Radiation: Cu Kα, 1.54184 Å
Structure: a cell relaxed with GGA+U

Atomic structure:
```
6
Lattice="5.102 0.000 0.000 -2.551 4.419 0.000 0.000 0.000 3.071" Properties=species:S:1:pos:R:3 pbc="T T T"
Ta 0.000 0.000 0.000
Mn 0.000 2.946 1.536
Mn 2.551 1.473 1.536
O -1.276 2.209 0.000
O 2.551 0.000 0.000
O 1.276 2.209 0.000
```

Peak list (10 most intense, 2θ from 5° to 70°, by angle)
- 2θ 20.1, I = 45
- 2θ 29.1, I = 8
- 2θ 35.2, I = 82
- 2θ 35.6, I = 100
- 2θ 40.8, I = 21
- 2θ 50.9, I = 58
- 2θ 55.0, I = 8
- 2θ 60.3, I = 8
- 2θ 63.1, I = 15
- 2θ 63.4, I = 38

---

2.
Computed powder diffractogram
Compound: Ca2Nb2CrO8
Radiation: Cu Kα, 1.54184 Å
Structure: a cell relaxed with GGA+U

Atomic structure:
```
26
Lattice="5.495 0.000 0.000 -0.176 6.463 0.000 -0.288 -2.800 9.620" Properties=species:S:1:pos:R:3 pbc="T T T"
Ca 1.212 -0.953 4.024
Ca 1.129 2.364 5.564
Ca 3.902 1.299 4.056
Ca 3.819 4.616 5.597
Nb 1.196 2.427 2.194
Nb 1.103 -0.686 7.444
Nb 3.928 4.348 2.177
Nb 3.836 1.236 7.426
Cr 0.974 2.694 9.610
Cr 4.057 0.969 0.011
O -0.209 0.651 6.086
O 0.283 1.176 1.149
O 0.311 4.204 1.391
O 0.514 4.451 6.054
O 1.710 1.156 3.558
O 1.991 -1.946 8.568
O 2.009 1.013 8.212
O 2.501 3.826 3.546
O 2.530 -0.163 6.075
O 3.022 2.650 1.408
O 3.041 5.609 1.053
O 3.321 2.507 6.062
O 4.518 -0.788 3.566
O 4.720 -0.541 8.229
O 4.748 2.486 8.471
O 5.241 3.012 3.535
```

Peak list (10 most intense, 2θ from 5° to 70°, by angle)
- 2θ 18.4, I = 19
- 2θ 25.7, I = 17
- 2θ 26.4, I = 29
- 2θ 27.5, I = 27
- 2θ 30.5, I = 38
- 2θ 31.8, I = 100
- 2θ 32.3, I = 28
- 2θ 32.6, I = 70
- 2θ 47.5, I = 20
- 2θ 49.4, I = 29

---

3.
Computed powder diffractogram
Compound: La4ReNi3O12
Radiation: Cu Kα, 1.54184 Å
Structure: a cell relaxed with GGA+U

Atomic structure:
```
20
Lattice="5.546 0.000 0.000 0.000 5.546 0.000 0.000 0.000 8.098" Properties=species:S:1:pos:R:3 pbc="T T T"
La 0.000 2.773 1.776
La 0.000 2.773 6.322
La 2.773 0.000 1.776
La 2.773 0.000 6.322
Re 0.000 0.000 4.049
Ni 0.000 0.000 0.000
Ni 2.773 2.773 0.000
Ni 2.773 2.773 4.049
O 0.000 0.000 2.076
O 0.000 0.000 6.022
O 1.343 1.343 4.049
O 1.343 4.203 4.049
O 1.376 1.376 0.000
O 1.376 4.170 0.000
O 2.773 2.773 2.043
O 2.773 2.773 6.055
O 4.170 1.376 0.000
O 4.170 4.170 0.000
O 4.203 1.343 4.049
O 4.203 4.203 4.049
```

Peak list (10 most intense, 2θ from 5° to 70°, by angle)
- 2θ 25.2, I = 13
- 2θ 31.8, I = 100
- 2θ 32.3, I = 53
- 2θ 44.8, I = 13
- 2θ 46.3, I = 32
- 2θ 47.0, I = 9
- 2θ 56.3, I = 15
- 2θ 57.2, I = 38
- 2θ 66.4, I = 15
- 2θ 67.6, I = 10

---

4.
Computed powder diffractogram
Compound: SrV2P2O9
Radiation: Cu Kα, 1.54184 Å
Structure: a cell relaxed with GGA+U

Atomic structure:
```
56
Lattice="14.425 0.000 0.000 0.000 6.642 0.000 0.000 0.000 7.671" Properties=species:S:1:pos:R:3 pbc="T T T"
Sr 3.184 1.660 0.937
Sr 4.029 4.981 4.773
Sr 10.396 1.660 2.899
Sr 11.241 4.981 6.734
V 0.000 0.000 0.000
V 0.000 3.321 0.000
V 1.688 1.660 5.012
V 5.524 4.981 1.176
V 7.213 0.000 3.836
V 7.213 3.321 3.836
V 8.901 1.660 6.495
V 12.737 4.981 2.659
P 0.876 4.981 4.965
P 2.750 4.981 0.841
P 4.462 1.660 4.676
P 6.336 1.660 1.129
P 8.089 4.981 6.542
P 9.963 4.981 2.995
P 11.675 1.660 6.831
P 13.549 1.660 2.706
O 0.155 4.981 6.362
O 0.202 1.660 3.776
O 0.781 1.660 6.713
O 1.810 3.752 4.899
O 1.810 6.211 4.899
O 1.844 3.724 0.767
O 1.844 6.239 0.767
O 3.369 1.660 3.570
O 3.613 1.660 5.979
O 3.599 4.981 2.144
O 3.844 4.981 7.406
O 5.369 0.403 4.603
O 5.369 2.918 4.603
O 5.402 0.431 1.064
O 5.402 2.890 1.064
O 6.431 4.981 2.877
O 7.011 4.981 7.612
O 7.058 1.660 2.526
O 7.367 4.981 5.146
O 7.414 1.660 0.059
O 7.994 1.660 4.794
O 9.023 3.752 6.608
O 9.023 6.211 6.608
O 9.056 3.724 3.068
O 9.056 6.239 3.068
O 10.581 1.660 0.266
O 10.826 1.660 5.528
O 10.812 4.981 1.692
O 11.056 4.981 4.101
O 12.581 0.403 6.904
O 12.581 2.918 6.904
O 12.615 0.431 2.772
O 12.615 2.890 2.772
O 13.644 4.981 0.958
O 14.223 4.981 3.895
O 14.270 1.660 1.310
```

Peak list (10 most intense, 2θ from 5° to 70°, by angle)
- 2θ 24.0, I = 100
- 2θ 26.8, I = 39
- 2θ 27.3, I = 26
- 2θ 29.6, I = 22
- 2θ 30.5, I = 21
- 2θ 33.2, I = 22
- 2θ 36.3, I = 21
- 2θ 38.7, I = 19
- 2θ 55.3, I = 23
- 2θ 55.4, I = 18

---

5.
Computed powder diffractogram
Compound: FeWClO4
Radiation: Cu Kα, 1.54184 Å
Structure: a cell relaxed with GGA+U

Atomic structure:
```
14
Lattice="6.800 0.000 0.000 0.000 6.800 0.000 0.000 0.000 5.577" Properties=species:S:1:pos:R:3 pbc="T T T"
Fe 1.700 1.700 1.270
Fe 5.100 5.100 4.307
W 1.700 5.100 2.788
W 5.100 1.700 2.788
Cl 1.700 1.700 4.604
Cl 5.100 5.100 0.972
O 0.229 5.100 3.847
O 1.700 3.629 1.730
O 1.700 6.571 1.730
O 3.171 5.100 3.847
O 3.629 1.700 1.730
O 5.100 0.229 3.847
O 5.100 3.171 3.847
O 6.571 1.700 1.730
```

Peak list (10 most intense, 2θ from 5° to 70°, by angle)
- 2θ 15.9, I = 50
- 2θ 18.5, I = 20
- 2θ 24.4, I = 100
- 2θ 26.2, I = 74
- 2θ 30.8, I = 31
- 2θ 37.3, I = 46
- 2θ 37.4, I = 17
- 2θ 45.2, I = 35
- 2θ 53.9, I = 49
- 2θ 56.4, I = 12

---

6.
Computed powder diffractogram
Compound: Sr2CeVO6
Radiation: Cu Kα, 1.54184 Å
Structure: a cell relaxed with GGA+U

Atomic structure:
```
10
Lattice="0.000 4.158 4.158 4.158 0.000 4.158 4.158 4.158 0.000" Properties=species:S:1:pos:R:3 pbc="T T T"
Sr 2.079 2.079 2.079
Sr 6.237 6.237 6.237
Ce 0.000 0.000 0.000
V 4.158 4.158 4.158
O 4.158 4.158 2.212
O 4.158 2.212 4.158
O 6.103 4.158 4.158
O 2.212 4.158 4.158
O 4.158 6.103 4.158
O 4.158 4.158 6.103
```

Peak list (10 most intense, 2θ from 5° to 70°, by angle)
- 2θ 18.5, I = 12
- 2θ 21.4, I = 3
- 2θ 30.4, I = 100
- 2θ 35.8, I = 10
- 2θ 43.5, I = 35
- 2θ 47.7, I = 6
- 2θ 54.0, I = 39
- 2θ 57.6, I = 3
- 2θ 63.3, I = 21
- 2θ 66.5, I = 3

---

7.
Computed powder diffractogram
Compound: FeBiO3
Radiation: Cu Kα, 1.54184 Å
Structure: a cell relaxed with GGA+U

Atomic structure:
```
30
Lattice="8.944 -3.972 0.000 8.944 3.972 0.000 -1.730 0.000 5.338" Properties=species:S:1:pos:R:3 pbc="T T T"
Fe 4.472 1.986 0.000
Fe 6.314 2.014 3.515
Fe 9.843 2.014 1.823
Fe 4.472 -1.986 0.000
Fe 6.314 -2.014 3.515
Fe 9.843 -2.014 1.823
Bi -0.045 0.000 4.701
Bi 3.677 0.000 2.511
Bi 7.208 0.000 0.668
Bi 8.950 0.000 4.670
Bi 12.480 0.000 2.828
Bi 16.203 0.000 0.638
O 5.045 1.838 1.984
O 1.531 0.000 1.662
O 4.668 1.667 4.824
O 8.944 2.546 0.000
O 8.079 2.284 2.669
O 4.056 0.000 0.235
O 11.490 1.667 0.514
O 6.622 0.000 4.028
O 11.112 1.838 3.355
O 5.045 -1.838 1.984
O 9.536 0.000 1.311
O 4.668 -1.667 4.824
O 12.102 0.000 5.103
O 8.079 -2.284 2.669
O 8.944 -2.546 0.000
O 11.490 -1.667 0.514
O 14.627 0.000 3.676
O 11.112 -1.838 3.355
```

Peak list (10 most intense, 2θ from 5° to 70°, by angle)
- 2θ 22.2, I = 16
- 2θ 22.4, I = 33
- 2θ 31.5, I = 26
- 2θ 31.8, I = 100
- 2θ 31.9, I = 21
- 2θ 39.0, I = 16
- 2θ 39.3, I = 12
- 2θ 45.6, I = 25
- 2θ 56.2, I = 12
- 2θ 56.8, I = 16

---

8.
Computed powder diffractogram
Compound: Li9Mn2Co5O16
Radiation: Cu Kα, 1.54184 Å
Structure: a cell relaxed with GGA+U

Atomic structure:
```
32
Lattice="10.574 -1.457 0.000 10.574 1.457 0.000 -2.976 0.000 9.404" Properties=species:S:1:pos:R:3 pbc="T T T"
Li 0.000 0.000 0.000
Li 0.450 0.000 2.849
Li 1.125 0.000 8.900
Li 4.925 0.000 5.319
Li 8.829 0.000 1.648
Li 9.342 0.000 7.755
Li 13.246 0.000 4.084
Li 17.046 0.000 0.504
Li 17.721 0.000 6.555
Mn 0.800 0.000 5.894
Mn 17.371 0.000 3.509
Co 4.450 0.000 2.282
Co 5.542 0.000 8.266
Co 9.086 0.000 4.702
Co 12.629 0.000 1.138
Co 13.721 0.000 7.122
O -1.136 0.000 6.047
O -0.872 0.000 9.212
O 2.518 0.000 2.573
O 2.762 0.000 5.719
O 3.248 0.000 8.416
O 6.630 0.000 2.224
O 6.934 0.000 4.804
O 7.302 0.000 7.881
O 10.869 0.000 1.523
O 11.237 0.000 4.600
O 11.541 0.000 7.180
O 14.923 0.000 0.987
O 15.409 0.000 3.685
O 15.653 0.000 6.831
O 19.043 0.000 0.191
O 19.307 0.000 3.356
```

Peak list (10 most intense, 2θ from 5° to 70°, by angle)
- 2θ 18.3, I = 100
- 2θ 35.6, I = 13
- 2θ 36.0, I = 25
- 2θ 43.2, I = 26
- 2θ 43.5, I = 55
- 2θ 47.5, I = 9
- 2θ 57.3, I = 10
- 2θ 62.8, I = 14
- 2θ 63.2, I = 13
- 2θ 63.9, I = 8